Diffraction record for K3Cr2Cl2F5. The powder X-ray diffraction pattern is theoretical, not measured: it uses the PBE+U geometry in Alexandria and a wavelength of 1.5418 Å.
Intensities are scaled so that the largest is 100.

Atomic structure:
```
12
Lattice="-2.203 2.203 11.666 2.203 -2.203 11.666 2.203 2.203 -11.666" Properties=species:S:1:pos:R:3 pbc="T T T"
K 0.000 0.000 0.000
K 0.000 0.000 3.900
K 0.000 0.000 19.433
Cr 0.000 0.000 9.643
Cr 0.000 0.000 13.689
Cl 0.000 0.000 7.202
Cl 0.000 0.000 16.130
F 2.203 0.000 1.967
F 2.203 0.000 9.699
F 0.000 0.000 11.666
F 0.000 2.203 1.967
F 0.000 2.203 9.699
```

Most intense lines, 10° ≤ 2θ ≤ 90°, in order of falling intensity:
2θ (°)	d_spacing	Rel. int.
28.7	3.115	100
41.0	2.203	94
33.7	2.658	72
37.0	2.431	39
54.1	1.696	32
27.9	3.203	30
59.3	1.558	27
20.5	4.329	26
63.9	1.458	24
15.2	5.833	23